For Nd4Zn2Ga, a structure optimized by DFT (PBE) gives the computed X-ray powder pattern in this record (Cu Kα, 1.54184 Å).
Intensities are scaled so that the largest is 1000.

Top 10 peaks for 2θ = 10–90°, in order of rising 2θ:
h k l  2θ/deg  Rel. int.
1 0 4  24.5  499
1 1 0  34.7  1000
0 1 8  35.1  940
0 2 4  43.0  113
2 0 8  50.2  337
3 0 0  62.3  181
1 2 8  62.5  345
1 0 16  63.1  150
3 1 8  83.9  150
2 1 16  84.5  132

Atomic structure:
```
data_Nd4Zn2Ga
_chemical_formula_sum 'Nd12 Zn6 Ga3'
_cell_length_a 5.1658
_cell_length_b 5.1658
_cell_length_c 24.9506
_cell_angle_alpha 90.00
_cell_angle_beta 90.00
_cell_angle_gamma 120.00
_space_group_name_H-M_alt 'R -3 m'
_space_group_IT_number 166
_space_group_name_Hall '-R 3 2"'
loop_
_atom_site_label
_atom_site_type_symbol
_atom_site_fract_x
_atom_site_fract_y
_atom_site_fract_z
_atom_site_occupancy
Nd1 Nd 0.0000 0.0000 0.1201 1
Nd2 Nd 0.0000 0.0000 0.3719 1
Zn1 Zn 0.0000 0.0000 0.2473 1
Ga1 Ga 0.0000 0.0000 0.5000 1
```

=====

For UTlIn2Br6, a structure optimized by DFT (PBE) gives the computed X-ray powder pattern in this record (Cu Kα, 1.54184 Å).
Intensities are scaled so that the largest is 1000.

Top 10 peaks for 2θ = 10–90°, in order of rising 2θ:
h k l  2θ/deg  Rel. int.
0 1 2  15.0  721
1 0 4  20.9  632
1 1 0  21.6  496
2 -1 3  25.1  530
0 2 4  30.3  543
2 -1 6  33.5  1000
3 -1 4  37.5  465
3 0 0  38.0  601
2 2 6  51.5  245
3 2 4  59.3  194

Atomic structure:
```
data_UTlIn2Br6
_chemical_formula_sum 'U3 Tl3 In6 Br18'
_cell_length_a 8.2120
_cell_length_b 8.2120
_cell_length_c 21.1406
_cell_angle_alpha 90.00
_cell_angle_beta 90.00
_cell_angle_gamma 120.00
_space_group_name_H-M_alt 'R 3'
_space_group_IT_number 146
_space_group_name_Hall 'R 3'
loop_
_atom_site_label
_atom_site_type_symbol
_atom_site_fract_x
_atom_site_fract_y
_atom_site_fract_z
_atom_site_occupancy
U1 U 0.0000 0.0000 0.0000 1
Tl1 Tl 0.0000 0.0000 0.4907 1
In1 In 0.0000 0.0000 0.2028 1
In2 In 0.0000 0.0000 0.6936 1
Br1 Br 0.0078 0.2794 0.0883 1
Br2 Br 0.0576 0.7134 0.5952 1
```

=====

For LiZrAs2O8, a structure optimized by DFT (PBE) gives the computed X-ray powder pattern in this record (Cu Kα, 1.54184 Å).
Intensities are scaled so that the largest is 1000.

Top 10 peaks for 2θ = 10–90°, in order of rising 2θ:
h k l  2θ/deg  Rel. int.
1 1 0  18.3  270
1 0 1  19.3  333
2 0 0  26.0  1000
2 1 1  32.5  299
1 1 2  34.3  647
2 2 0  37.1  127
2 0 2  39.1  135
3 1 2  51.3  596
4 0 0  53.4  244
3 3 2  65.0  187

Atomic structure:
```
data_LiZrAs2O8
_chemical_formula_sum 'Li2 Zr2 As4 O16'
_cell_length_a 6.861
_cell_length_b 6.861
_cell_length_c 6.219
_cell_angle_alpha 90.00
_cell_angle_beta 90.00
_cell_angle_gamma 90.00
_space_group_name_H-M_alt 'I -4 m 2'
_space_group_IT_number 119
_space_group_name_Hall 'I -4 -2'
loop_
_atom_site_label
_atom_site_type_symbol
_atom_site_fract_x
_atom_site_fract_y
_atom_site_fract_z
_atom_site_occupancy
Li1 Li 0.000 0.000 0.000 1
Zr1 Zr 0.000 0.500 0.750 1
As1 As 0.000 0.000 0.500 1
As2 As 0.000 0.500 0.250 1
O1 O 0.000 0.196 0.670 1
O2 O 0.000 0.313 0.064 1
```

=====

For In4PbSe7, a structure optimized by DFT (PBE) gives the computed X-ray powder pattern in this record (Cu Kα, 1.54184 Å).
Intensities are scaled so that the largest is 1000.

Top 10 peaks for 2θ = 10–90°, in order of rising 2θ:
h k l  2θ/deg  Rel. int.
1 1 0  13.5  388
1 1 1  19.0  343
4 1 0  24.9  1000
0 0 2  26.7  770
2 2 0  27.2  233
0 2 1  28.3  357
4 1 2  36.8  485
8 0 0  43.9  582
0 2 3  48.1  637
8 0 2  52.1  388

Atomic structure:
```
data_In4PbSe7
_chemical_formula_sum 'In8 Pb2 Se14'
_cell_length_a 16.483
_cell_length_b 7.153
_cell_length_c 6.682
_cell_angle_alpha 90.00
_cell_angle_beta 90.00
_cell_angle_gamma 90.00
_space_group_name_H-M_alt 'P m n 21'
_space_group_IT_number 31
_space_group_name_Hall 'P 2ac -2'
loop_
_atom_site_label
_atom_site_type_symbol
_atom_site_fract_x
_atom_site_fract_y
_atom_site_fract_z
_atom_site_occupancy
In1 In 0.123 0.158 0.000 1
In2 In 0.245 0.678 0.996 1
Pb1 Pb 0.000 0.456 0.470 1
Se1 Se 0.000 0.379 0.905 1
Se2 Se 0.113 0.821 0.869 1
Se3 Se 0.116 0.162 0.400 1
Se4 Se 0.237 0.681 0.397 1
```

=====

For K3H7Pd2, a structure optimized by DFT (PBE) gives the computed X-ray powder pattern in this record (Cu Kα, 1.54184 Å).
Intensities are scaled so that the largest is 1000.

Top 10 peaks for 2θ = 10–90°, in order of rising 2θ:
h k l  2θ/deg  Rel. int.
0 0 4  17.2  152
1 0 1  23.4  271
1 0 5  31.7  1000
1 1 0  32.8  540
1 0 7  38.4  199
2 0 0  47.1  196
0 0 12  53.2  105
1 1 10  55.8  113
2 1 5  57.9  332
1 1 12  63.9  93

Atomic structure:
```
data_K3H7Pd2
_chemical_formula_sum 'K6 H14 Pd4'
_cell_length_a 3.862
_cell_length_b 3.862
_cell_length_c 20.673
_cell_angle_alpha 90.00
_cell_angle_beta 90.00
_cell_angle_gamma 90.00
_space_group_name_H-M_alt 'I 4/m m m'
_space_group_IT_number 139
_space_group_name_Hall '-I 4 2'
loop_
_atom_site_label
_atom_site_type_symbol
_atom_site_fract_x
_atom_site_fract_y
_atom_site_fract_z
_atom_site_occupancy
K1 K 0.000 0.000 0.000 1
K2 K 0.000 0.000 0.181 1
H1 H 0.000 0.000 0.326 1
H2 H 0.000 0.000 0.500 1
H3 H 0.000 0.500 0.090 1
Pd1 Pd 0.000 0.000 0.410 1
```

=====

For Hf3Ga6Ir, a structure optimized by DFT (PBE) gives the computed X-ray powder pattern in this record (Cu Kα, 1.54184 Å).
Intensities are scaled so that the largest is 1000.

Top 10 peaks for 2θ = 10–90°, in order of rising 2θ:
h k l  2θ/deg  Rel. int.
0 1 2  18.9  320
1 1 3  29.8  323
1 2 2  30.7  173
1 3 1  36.5  967
0 2 4  38.4  660
3 1 2  39.2  1000
1 2 5  49.4  194
4 1 3  52.4  186
1 5 2  58.9  180
5 2 0  63.7  235

Atomic structure:
```
data_Hf3Ga6Ir
_chemical_formula_sum 'Hf18 Ga36 Ir6'
_cell_length_a 10.5308
_cell_length_b 10.5308
_cell_length_c 10.9272
_cell_angle_alpha 90.00
_cell_angle_beta 90.00
_cell_angle_gamma 120.00
_space_group_name_H-M_alt 'R -3 c'
_space_group_IT_number 167
_space_group_name_Hall '-R 3 2"c'
loop_
_atom_site_label
_atom_site_type_symbol
_atom_site_fract_x
_atom_site_fract_y
_atom_site_fract_z
_atom_site_occupancy
Hf1 Hf 0.0000 0.4298 0.2500 1
Ga1 Ga 0.0629 0.2049 0.3478 1
Ir1 Ir 0.0000 0.0000 0.0000 1
```